(1)
Structure and computed X-ray diffraction stick pattern of Gd2Ho2BI5 (the PBE geometry in OQMD; Cu Ka).

Top 12 peaks for 2θ = 10–90°, by angle:
Position (°2θ)	Rel. int.	h k l
10.41	31.3	0 0 1
25.30	32.9	6 0 0
28.40	18.9	3 1 1
30.15	100.0	1 1 -2
30.91	18.6	5 1 -1
33.95	18.7	8 0 0
39.70	15.8	5 1 2
39.81	16.0	7 1 -2
41.67	15.5	2 0 -4
44.62	23.4	0 2 0
45.97	15.6	7 1 2
61.47	15.6	13 1 0

Crystal structure
Cell: 21.547 4.061 8.671 Å, 90.00 101.39 90.00°
Space group C2/m (No. 12)
Symmetry-distinct sites (fractional):
Gd (0.000, 0.000, 0.199)
Ho (0.117, 0.500, 0.058)
B (0.000, 0.500, 0.000)
I (0.000, 0.500, 0.500)
I (0.151, 0.000, 0.326)
I (0.152, 0.000, 0.823)

***

(2)
Structure and computed X-ray diffraction stick pattern of SnTe2Pt2F2 (the PBE geometry in OQMD; Cu Ka).

Top 12 peaks for 2θ = 10–90°, by angle:
Position (°2θ)	Rel. int.	h k l
19.36	40.8	0 0 2
25.25	16.5	1 0 1
29.22	20.2	0 0 3
30.45	31.5	1 0 2
33.16	34.9	1 1 0
34.61	14.0	1 1 1
38.68	100.0	1 1 2
46.18	19.8	1 0 4
47.60	36.2	2 0 0
51.85	12.5	2 0 2
56.83	13.3	2 0 3
82.57	22.3	3 1 2

Crystal structure
Cell: 3.821 3.821 9.170 Å, 90.00 90.00 90.00°
Space group P-4m2 (No. 115)
Symmetry-distinct sites (fractional):
Sn (0.000, 0.000, 0.000)
Te (0.000, 0.500, 0.749)
Pt (0.000, 0.500, 0.309)
F (0.000, 0.000, 0.500)
F (0.500, 0.500, 0.500)

***

(3)
Structure and computed X-ray diffraction stick pattern of YTlZnS3 (the PBE geometry in OQMD; Cu Ka).

Top 12 peaks for 2θ = 10–90°, by angle:
Position (°2θ)	Rel. int.	h k l
16.51	30.6	0 0 2
20.60	45.0	2 0 2
24.63	80.5	4 0 0
29.78	21.2	4 0 2
30.29	100.0	3 1 1
33.65	27.1	3 1 2
34.26	25.2	1 1 3
35.67	25.5	2 0 4
35.96	25.1	2 1 3
46.35	21.0	5 1 3
49.87	25.0	2 1 5
50.49	31.2	8 0 0

Crystal structure
Cell: 14.469 3.977 10.741 Å, 90.00 90.00 90.00°
Space group Pnma (No. 62)
Symmetry-distinct sites (fractional):
Y (0.023, 0.250, 0.156)
Tl (0.243, 0.250, 0.461)
Zn (0.018, 0.750, 0.402)
S (0.075, 0.750, 0.613)
S (0.094, 0.250, 0.923)
S (0.134, 0.750, 0.251)

***

(4)
Structure and computed X-ray diffraction stick pattern of KAg3IrS4 (the PBE geometry in OQMD; Cu Ka).

Top 12 peaks for 2θ = 10–90°, by angle:
Position (°2θ)	Rel. int.	h k l
14.13	100.0	1 0 0
20.04	16.6	1 1 0
24.61	23.4	1 1 1
28.49	45.1	2 0 0
31.94	36.0	2 1 0
40.73	76.3	2 2 0
43.32	26.1	2 2 1
50.45	13.8	2 2 2
52.67	18.2	3 2 0
60.96	12.4	4 1 0
66.76	19.1	4 2 0
74.13	21.6	4 2 2

Crystal structure
Cell: 6.266 6.266 6.266 Å, 90.00 90.00 90.00°
Space group P-43m (No. 215)
Symmetry-distinct sites (fractional):
K (0.000, 0.000, 0.000)
Ag (0.000, 0.500, 0.500)
Ir (0.500, 0.500, 0.500)
S (0.288, 0.288, 0.288)

***

(5)
Structure and computed X-ray diffraction stick pattern of ErCdAg2 (the PBE geometry in OQMD; Cu Ka).

Top 12 peaks for 2θ = 10–90°, by angle:
Position (°2θ)	Rel. int.	h k l
32.21	7.8	0 2 1
35.84	49.9	2 0 0
36.99	100.0	1 2 1
40.20	15.1	1 0 2
51.57	13.5	2 0 2
55.02	8.5	0 4 0
62.07	7.6	0 2 3
65.20	18.1	3 2 1
67.39	9.0	0 4 2
67.44	9.0	2 4 0
73.81	9.0	2 2 3
78.76	7.5	2 4 2

Crystal structure
Cell: 5.007 6.676 5.018 Å, 90.00 90.00 90.00°
Space group Pmmn (No. 59, origin choice 2)
Symmetry-distinct sites (fractional):
Er (0.250, 0.250, 0.196)
Cd (0.250, 0.750, 0.213)
Ag (0.250, 0.504, 0.696)

***

(6)
Structure and computed X-ray diffraction stick pattern of NbAg3Te2S2 (the PBE geometry in OQMD; Cu Ka).

Top 12 peaks for 2θ = 10–90°, by angle:
Position (°2θ)	Rel. int.	h k l
14.17	100.0	0 0 1
24.06	55.5	0 2 1
25.27	46.2	2 0 1
32.02	40.7	2 2 1
32.96	13.0	3 1 0
39.26	24.2	0 4 0
40.83	90.4	2 2 2
42.36	20.4	4 0 0
47.27	14.4	2 4 1
49.30	15.3	4 2 1
59.12	20.6	0 0 4
72.23	14.0	2 6 2

Crystal structure
Cell: 8.535 9.179 6.251 Å, 90.00 90.00 90.00°
Space group Cmm2 (No. 35)
Symmetry-distinct sites (fractional):
Nb (0.000, 0.000, 0.000)
Ag (0.000, 0.000, 0.497)
Ag (0.250, 0.250, 0.002)
Te (0.236, 0.500, 0.751)
S (0.000, 0.207, 0.217)

***

(7)
Structure and computed X-ray diffraction stick pattern of Pr2DyTl2Cd4 (the PBE geometry in OQMD; Cu Ka).

Top 12 peaks for 2θ = 10–90°, by angle:
Position (°2θ)	Rel. int.	h k l
29.97	40.0	1 0 2
30.21	90.1	1 3 1
32.97	100.0	1 2 2
33.26	56.6	1 4 0
35.39	24.9	0 1 3
35.73	21.4	0 4 2
38.60	53.0	2 0 0
40.48	42.6	0 3 3
40.79	19.3	1 4 2
41.00	25.4	0 6 0
53.36	23.5	2 1 3
64.70	19.7	3 3 1

Crystal structure
Cell: 4.665 13.200 7.753 Å, 90.00 90.00 90.00°
Space group Amm2 (No. 38)
Symmetry-distinct sites (fractional):
Pr (0.000, 0.211, 0.000)
Dy (0.000, 0.000, 0.635)
Tl (0.500, 0.163, 0.711)
Cd (0.000, 0.000, 0.222)
Cd (0.500, 0.000, 0.977)
Cd (0.500, 0.120, 0.333)

***

(8)
Structure and computed X-ray diffraction stick pattern of LaNdFe2Si2 (the PBE geometry in OQMD; Cu Ka).

Top 12 peaks for 2θ = 10–90°, by angle:
Position (°2θ)	Rel. int.	h k l
25.27	100.0	1 0 1
30.93	33.9	1 1 0
33.57	46.2	1 1 1
33.86	74.0	1 0 2
38.88	20.2	0 0 3
40.59	73.7	1 1 2
44.31	53.5	2 0 0
51.69	29.2	2 1 1
56.91	32.9	2 1 2
57.65	25.1	1 0 4
60.39	21.5	2 0 3
75.49	22.6	2 1 4

Crystal structure
Cell: 4.089 4.089 6.949 Å, 90.00 90.00 90.00°
Space group P4mm (No. 99)
Symmetry-distinct sites (fractional):
La (0.000, 0.000, 0.000)
Nd (0.500, 0.500, 0.632)
Fe (0.000, 0.500, 0.321)
Si (0.000, 0.000, 0.483)
Si (0.500, 0.500, 0.159)

***

(9)
Structure and computed X-ray diffraction stick pattern of Ga2HgSe2S2 (the PBE geometry in OQMD; Cu Ka).

Top 12 peaks for 2θ = 10–90°, by angle:
Position (°2θ)	Rel. int.	h k l
16.61	41.8	0 0 1
17.47	54.8	1 0 0
17.65	46.5	0 1 -1
21.85	78.2	1 1 -1
27.28	93.9	1 1 0
27.41	100.0	-1 1 1
27.71	82.3	1 -1 1
27.87	88.5	1 1 -2
35.76	51.3	0 2 -2
44.54	90.1	2 -2 0
45.82	41.5	0 2 1
46.25	41.2	2 0 1

Crystal structure
Cell: 5.749 5.760 6.640 Å, 114.50 115.24 90.05°
Space group P1 (No. 1)
Symmetry-distinct sites (fractional):
Ga (0.000, 0.000, 0.000)
Ga (0.237, 0.760, 0.500)
Hg (0.498, 0.512, 0.998)
Se (0.377, 0.372, 0.286)
Se (0.632, 0.105, 0.714)
S (0.096, 0.650, 0.733)
S (0.903, 0.905, 0.266)

***

(10)
Structure and computed X-ray diffraction stick pattern of Sr2Cd3As2O2 (the PBE geometry in OQMD; Cu Ka).

Top 12 peaks for 2θ = 10–90°, by angle:
Position (°2θ)	Rel. int.	h k l
18.40	29.3	0 0 4
30.24	100.0	1 1 2
30.85	85.1	1 0 5
34.35	71.3	1 1 4
38.58	67.5	1 0 7
40.39	33.3	1 1 6
41.11	96.8	2 0 0
52.27	37.5	2 1 5
57.64	40.7	2 1 7
59.54	31.0	2 2 0
72.94	31.6	2 0 12
87.32	20.1	2 2 12

Crystal structure
Cell: 4.392 4.392 19.286 Å, 90.00 90.00 90.00°
Space group I4/mmm (No. 139)
Symmetry-distinct sites (fractional):
Sr (0.000, 0.000, 0.083)
Cd (0.000, 0.000, 0.500)
Cd (0.000, 0.500, 0.250)
As (0.000, 0.000, 0.340)
O (0.000, 0.500, 0.000)

***

(11)
Structure and computed X-ray diffraction stick pattern of Y2NiB2IrN2 (the PBE geometry in OQMD; Cu Ka).

Top 12 peaks for 2θ = 10–90°, by angle:
Position (°2θ)	Rel. int.	h k l
11.69	69.2	0 0 1
23.50	15.7	0 0 2
24.82	16.9	1 0 0
27.51	50.7	1 0 1
34.44	37.0	1 0 2
35.58	44.3	0 0 3
37.39	100.0	1 1 1
42.92	64.4	1 1 2
50.91	35.6	2 0 0
61.09	27.7	1 1 4
63.65	31.2	2 0 3
86.81	17.3	3 1 1

Crystal structure
Cell: 3.587 3.587 7.570 Å, 90.00 90.00 90.00°
Space group P-4m2 (No. 115)
Symmetry-distinct sites (fractional):
Y (0.000, 0.500, 0.162)
Ni (0.000, 0.000, 0.500)
B (0.000, 0.500, 0.659)
Ir (0.500, 0.500, 0.500)
N (0.000, 0.500, 0.855)